CrSnGe2F: simulated PXRD pattern (λ = 1.5418 Å (Cu Kα)), based on a GGA+U-relaxed structure.
Intensities are scaled so that the largest is 100.

Cell and atoms:
Cell: 4.619 4.619 5.090 Å, 90.00 90.00 90.00°
Sites, in units of the cell vectors:
Cr (0.000, 0.000, 0.000)
Sn (0.000, 0.000, 0.500)
Ge (0.000, 0.500, 0.000)
Ge (0.500, 0.000, 0.000)
F (0.500, 0.500, 0.500)

Main lines, in order of falling intensity (2θ = 10–90°):
d = 2.749 Å, 32.57°, I = 100, hkl 1 1 1; d = 4.619 Å, 19.21°, I = 78, hkl 1 0 0; d = 2.310 Å, 39.00°, I = 64, hkl 2 0 0; d = 1.710 Å, 53.58°, I = 50, hkl 2 0 2; d = 2.545 Å, 35.26°, I = 43, hkl 0 0 2; d = 1.404 Å, 66.61°, I = 26, hkl 3 1 1; d = 2.229 Å, 40.47°, I = 24, hkl 1 0 2; d = 1.374 Å, 68.23°, I = 24, hkl 2 2 2; d = 1.633 Å, 56.34°, I = 21, hkl 2 2 0; d = 2.066 Å, 43.83°, I = 19, hkl 2 1 0